# 1
This entry pairs a crystal structure of MgScSe3 with its simulated X-ray diffraction stick pattern. Radiation: Cu Kα. Structure: the PBE geometry in the Materials Project.
Intensities are scaled so that the largest is 100.

Peak list (10 most intense, 10 to 90 degrees two-theta, by intensity)
2θ = 30.09°, I 100.0; 2θ = 39.79°, I 36.6; 2θ = 46.17°, I 32.0; 2θ = 52.62°, I 21.8; 2θ = 56.10°, I 15.4; 2θ = 29.43°, I 12.6; 2θ = 75.51°, I 12.1; 2θ = 55.71°, I 11.4; 2θ = 79.85°, I 10.9; 2θ = 62.55°, I 8.8

abc: 7.232 7.232 7.232
angles: 56.18 56.18 56.18
Fractional positions:
Mg 0.154 0.154 0.154
Mg 0.846 0.846 0.846
Sc 0.343 0.343 0.343
Sc 0.657 0.657 0.657
Se 0.064 0.750 0.431
Se 0.250 0.569 0.936
Se 0.431 0.064 0.750
Se 0.569 0.936 0.250
Se 0.750 0.431 0.064
Se 0.936 0.250 0.569



# 2
This entry pairs a crystal structure of Mg14MnW with its simulated X-ray diffraction stick pattern. Radiation: Cu Kα. Structure: the PBE geometry in the Materials Project.
Intensities are scaled so that the largest is 100.

Peak list (10 most intense, 10 to 90 degrees two-theta, by intensity)
2θ = 38.12°, I 100.0; 2θ = 37.49°, I 56.7; 2θ = 18.49°, I 40.9; 2θ = 35.99°, I 38.3; 2θ = 18.79°, I 33.5; 2θ = 33.44°, I 33.2; 2θ = 16.20°, I 30.0; 2θ = 16.54°, I 22.9; 2θ = 49.94°, I 22.3; 2θ = 17.77°, I 22.1

abc: 9.983 6.276 6.276
angles: 58.65 90.00 90.00
Fractional positions:
Mg 0.000 0.000 0.000
Mg 0.000 0.002 0.501
Mg 0.000 0.499 0.499
Mg 0.000 0.501 0.002
Mg 0.255 0.661 0.661
Mg 0.258 0.160 0.160
Mg 0.265 0.167 0.674
Mg 0.265 0.674 0.167
Mg 0.500 0.002 0.501
Mg 0.500 0.501 0.002
Mg 0.735 0.167 0.674
Mg 0.735 0.674 0.167
Mg 0.742 0.160 0.160
Mg 0.745 0.661 0.661
Mn 0.500 0.502 0.502
W 0.500 0.006 0.006



# 3
This entry pairs a crystal structure of PO3 with its simulated X-ray diffraction stick pattern. Radiation: Cu Kα. Structure: the PBE geometry in the Materials Project.
Intensities are scaled so that the largest is 100.

Peak list (10 most intense, 10 to 90 degrees two-theta, by intensity)
2θ = 13.32°, I 100.0; 2θ = 16.35°, I 54.5; 2θ = 21.08°, I 34.8; 2θ = 26.80°, I 15.7; 2θ = 32.93°, I 11.8; 2θ = 21.18°, I 10.2; 2θ = 23.24°, I 9.4; 2θ = 35.79°, I 7.9; 2θ = 29.33°, I 6.5; 2θ = 24.07°, I 5.1

abc: 7.701 7.701 13.233
angles: 90.00 90.00 89.53
Fractional positions:
P 0.039 0.961 0.857
P 0.206 0.206 0.000
P 0.294 0.294 0.500
P 0.461 0.539 0.357
P 0.539 0.461 0.643
P 0.706 0.706 0.500
P 0.794 0.794 0.000
P 0.961 0.039 0.143
O 0.037 0.189 0.071
O 0.096 0.904 0.171
O 0.114 0.886 0.761
O 0.125 0.301 0.557
O 0.189 0.037 0.929
O 0.199 0.375 0.943
O 0.301 0.125 0.443
O 0.311 0.463 0.429
O 0.375 0.199 0.057
O 0.386 0.614 0.261
O 0.404 0.596 0.671
O 0.463 0.311 0.571
O 0.537 0.689 0.429
O 0.596 0.404 0.329
O 0.614 0.386 0.739
O 0.625 0.801 0.943
O 0.689 0.537 0.571
O 0.699 0.875 0.557
O 0.801 0.625 0.057
O 0.811 0.963 0.071
O 0.875 0.699 0.443
O 0.886 0.114 0.239
O 0.904 0.096 0.829
O 0.963 0.811 0.929



# 4
This entry pairs a crystal structure of H with its simulated X-ray diffraction stick pattern. Radiation: Cu Kα. Structure: the PBE geometry in the Materials Project.
Intensities are scaled so that the largest is 100.

Peak list (10 most intense, 10 to 90 degrees two-theta, by intensity)
2θ = 31.10°, I 100.0; 2θ = 22.24°, I 68.4; 2θ = 29.58°, I 35.8; 2θ = 36.47°, I 31.5; 2θ = 25.14°, I 22.9; 2θ = 30.97°, I 14.7; 2θ = 40.63°, I 13.3; 2θ = 34.14°, I 12.6; 2θ = 37.32°, I 9.6; 2θ = 45.38°, I 8.0

abc: 6.039 9.854 4.373
angles: 90.00 90.00 90.00
Fractional positions:
H 0.035 0.250 0.243
H 0.055 0.505 0.538
H 0.055 0.995 0.538
H 0.103 0.250 0.099
H 0.397 0.750 0.599
H 0.445 0.005 0.038
H 0.445 0.495 0.038
H 0.465 0.750 0.743
H 0.535 0.250 0.257
H 0.555 0.505 0.962
H 0.555 0.995 0.962
H 0.603 0.250 0.401
H 0.897 0.750 0.901
H 0.945 0.005 0.462
H 0.945 0.495 0.462
H 0.965 0.750 0.757